This entry pairs a crystal structure of Lu2O3 with its calculated X-ray diffraction stick pattern. Radiation: a wavelength of 1.5418 Å. Structure: the PBE geometry in the Materials Project.
Neutral-atom scattering factors, no anomalous dispersion.

Lattice parameters (Å, degrees): 3.5678 3.5678 5.7675 90.00 90.00 120.00
Space group P-3m1 (No. 164)
Unique sites:
Lu 0.3333 0.6667 0.2505 (multiplicity 2)
O 0.0000 0.0000 0.0000 (multiplicity 1)
O 0.3333 0.6667 0.6460 (multiplicity 2)

Peak list (10 most intense, 15 to 90 degrees two-theta, in order of rising 2θ)
(hkl), Position (°2θ), I (rel.)
1 0 0, 28.90, 27
0 0 2, 31.01, 29
0 1 1, 32.88, 100
0 1 2, 42.90, 24
1 1 0, 51.21, 29
0 1 3, 56.37, 27
1 1 2, 61.08, 26
2 0 1, 62.21, 17
2 0 3, 79.61, 10
1 2 1, 84.68, 15